Calculated powder X-ray diffraction pattern
Compound: Ba2ScHgTe5
Radiation: Cu Kα
Structure: a cell relaxed with GGA-PBE
No peak broadening, texture or thermal motion is included.

Peak list (6 most intense, 2θ = 15–90°, low angle first)
2θ/deg	intensity
26.27	63.7
28.11	100.0
29.13	53.1
35.20	31.1
40.18	53.7
44.85	29.4

Cell and atoms:
```
Ba2ScHgTe5
1.0
2.2435 -10.4985 0.0000
2.2435 10.4985 0.0000
0.0000 0.0000 13.7972
Ba Sc Hg Te
4 2 2 10
direct
0.1228 0.8772 0.5000
0.1286 0.8714 0.1125
0.8714 0.1286 0.6125
0.8772 0.1228 0.0000
0.2176 0.7824 0.8100
0.7824 0.2176 0.3100
0.4521 0.5479 0.2375
0.5479 0.4521 0.7375
0.0783 0.9217 0.8534
0.2905 0.7095 0.4533
0.2964 0.7036 0.1675
0.3545 0.6455 0.8086
0.4970 0.5030 0.5551
0.5030 0.4970 0.0551
0.6455 0.3545 0.3086
0.7036 0.2964 0.6675
0.7095 0.2905 0.9533
0.9217 0.0783 0.3534
```